(1)
The following is a calculated powder diffractogram of Rb2LiNb2Te2O12. It was derived from DFT lattice parameters and positions (GGA-PBE), using copper Kα.
Neutral-atom scattering factors, no anomalous dispersion.

Most intense lines, 10 to 80 degrees two-theta, by intensity:
2θ (°), d [Å], I (rel.)
29.22, 3.057, 100
14.38, 6.159, 84
27.77, 3.213, 82
28.02, 3.184, 78
48.51, 1.877, 72
27.61, 3.231, 71
14.50, 6.107, 61
28.92, 3.087, 57
27.88, 3.200, 50
29.04, 3.075, 40

Cell and atoms:
Cell: 7.469 7.506 7.509 Å, 119.16 90.74 119.81°
Fractional positions:
Rb: 0.000 0.000 0.000
Rb: 0.364 0.644 0.821
Li: 0.861 0.208 0.615
Nb: 0.532 0.726 0.359
Nb: 0.574 0.258 0.887
Te: 0.060 0.783 0.402
Te: 0.568 0.270 0.395
O: 0.240 0.650 0.331
O: 0.241 0.023 0.330
O: 0.250 0.022 0.704
O: 0.483 0.508 0.069
O: 0.486 0.509 0.451
O: 0.490 0.138 0.078
O: 0.637 0.025 0.709
O: 0.645 0.030 0.337
O: 0.653 0.408 0.713
O: 0.878 0.911 0.464
O: 0.880 0.539 0.094
O: 0.892 0.539 0.473

***

(2)
The following is a calculated powder diffractogram of Ho3As2Rh5Au2. It was derived from DFT lattice parameters and positions (GGA-PBE), using copper Kα.
Neutral-atom scattering factors, no anomalous dispersion.

Most intense lines, 10 to 80 degrees two-theta, by intensity:
2θ (°), d [Å], I (rel.)
44.43, 2.039, 100
37.21, 2.416, 74
41.47, 2.177, 71
37.61, 2.392, 65
31.02, 2.883, 57
31.76, 2.818, 50
32.22, 2.779, 47
59.59, 1.552, 34
64.65, 1.442, 33
43.54, 2.078, 32

Cell and atoms:
Cell: 13.596 13.596 13.596 Å, 162.75 162.75 24.49°
Fractional positions:
Ho: 0.000 0.000 0.000
Ho: 0.160 0.160 0.000
Ho: 0.840 0.840 0.000
As: 0.372 0.372 0.000
As: 0.628 0.628 0.000
Rh: 0.078 0.578 0.500
Rh: 0.422 0.922 0.500
Rh: 0.500 0.500 0.000
Rh: 0.578 0.078 0.500
Rh: 0.922 0.422 0.500
Au: 0.271 0.271 0.000
Au: 0.729 0.729 0.000

***

(3)
The following is a calculated powder diffractogram of Ho3PuAg4Se8. It was derived from DFT lattice parameters and positions (GGA-PBE), using copper Kα.
Neutral-atom scattering factors, no anomalous dispersion.

Most intense lines, 10 to 80 degrees two-theta, by intensity:
2θ (°), d [Å], I (rel.)
30.88, 2.896, 100
43.21, 2.094, 39
45.23, 2.005, 34
54.05, 1.697, 21
26.26, 3.393, 13
71.56, 1.319, 12
74.48, 1.274, 10
64.29, 1.449, 8
79.26, 1.209, 7
71.64, 1.317, 6

Cell and atoms:
Cell: 8.029 8.029 8.042 Å, 117.20 117.20 62.87°
Fractional positions:
Ho: 0.000 0.000 0.000
Ho: 0.000 0.500 0.500
Ho: 0.500 0.000 0.500
Pu: 0.500 0.500 0.000
Ag: 0.000 0.000 0.500
Ag: 0.000 0.500 0.000
Ag: 0.500 0.000 0.000
Ag: 0.500 0.500 0.500
Se: 0.244 0.751 0.750
Se: 0.249 0.249 0.252
Se: 0.249 0.249 0.744
Se: 0.249 0.756 0.250
Se: 0.751 0.244 0.750
Se: 0.751 0.751 0.256
Se: 0.751 0.751 0.748
Se: 0.756 0.249 0.250

***

(4)
The following is a calculated powder diffractogram of SmGdZnCu. It was derived from DFT lattice parameters and positions (GGA-PBE), using copper Kα.
Neutral-atom scattering factors, no anomalous dispersion.

Most intense lines, 10 to 80 degrees two-theta, by intensity:
2θ (°), d [Å], I (rel.)
35.48, 2.530, 100
63.71, 1.461, 35
51.05, 1.789, 18
24.89, 3.578, 17
75.09, 1.265, 11
57.60, 1.600, 7
43.82, 2.066, 5

Cell and atoms:
Cell: 5.060 5.060 5.060 Å, 60.00 60.00 60.00°
Fractional positions:
Sm: 0.000 0.000 0.000
Gd: 0.500 0.500 0.500
Zn: 0.750 0.750 0.750
Cu: 0.250 0.250 0.250

***

(5)
The following is a calculated powder diffractogram of TiTcP. It was derived from DFT lattice parameters and positions (GGA-PBE), using copper Kα.
Neutral-atom scattering factors, no anomalous dispersion.

Most intense lines, 10 to 80 degrees two-theta, by intensity:
2θ (°), d [Å], I (rel.)
38.18, 2.357, 100
42.33, 2.135, 71
41.52, 2.175, 53
50.43, 1.810, 36
27.35, 3.261, 26
79.05, 1.211, 24
70.71, 1.332, 22
15.69, 5.649, 21
48.34, 1.883, 19
26.13, 3.410, 17

Cell and atoms:
Cell: 7.361 7.361 7.361 Å, 124.80 79.72 127.43°
Fractional positions:
Ti: 0.004 0.250 0.254
Ti: 0.402 0.364 0.539
Ti: 0.419 0.866 0.053
Ti: 0.813 0.366 0.947
Ti: 0.825 0.864 0.461
Ti: 0.996 0.750 0.746
Tc: 0.157 0.312 0.902
Tc: 0.157 0.755 0.344
Tc: 0.411 0.255 0.098
Tc: 0.411 0.812 0.656
Tc: 0.663 0.163 0.500
Tc: 0.663 0.663 0.000
P: 0.079 0.414 0.670
P: 0.079 0.909 0.165
P: 0.377 0.150 0.728
P: 0.422 0.650 0.272
P: 0.744 0.409 0.330
P: 0.744 0.914 0.835

***

(6)
The following is a calculated powder diffractogram of Li2Ho3RhPb3. It was derived from DFT lattice parameters and positions (GGA-PBE), using copper Kα.
Neutral-atom scattering factors, no anomalous dispersion.

Most intense lines, 10 to 80 degrees two-theta, by intensity:
2θ (°), d [Å], I (rel.)
33.20, 2.698, 100
32.63, 2.744, 56
35.49, 2.529, 45
21.19, 4.192, 29
37.15, 2.420, 28
61.57, 1.506, 27
52.32, 1.749, 23
62.64, 1.483, 18
12.19, 7.261, 15
45.01, 2.014, 14

Cell and atoms:
Cell: 8.384 8.384 3.525 Å, 90.00 90.00 120.00°
Fractional positions:
Li: 0.333 0.667 0.000
Li: 0.667 0.333 0.000
Ho: 0.000 0.257 0.000
Ho: 0.257 0.000 0.000
Ho: 0.743 0.743 0.000
Rh: 0.000 0.000 0.500
Pb: 0.000 0.605 0.500
Pb: 0.395 0.395 0.500
Pb: 0.605 0.000 0.500